Record 1
For Dy3Ho3ErS8, a crystal structure in Alexandria, relaxed with PBE gives the computed X-ray powder pattern in this record (Cu Kα, 1.54184 Å).
Neutral-atom scattering factors, no anomalous dispersion.

Largest 12 diffraction maxima, low angle first, 10 to 80 degrees two-theta:
2theta  Rel. int.  (hkl)
13.96  14  0 0 3
16.13  7  0 1 2
22.89  6  1 1 0
26.91  9  0 2 1
28.13  73  2 0 2
32.59  100  0 2 4
46.76  72  2 2 0
55.46  36  2 2 6
58.16  25  4 0 4
68.28  11  0 4 8
75.40  15  4 2 2
77.72  32  2 4 4

Cell and atoms:
```
data_Dy3Ho3ErS8
_symmetry_space_group_name_H-M 'R -3 m'
_symmetry_Int_Tables_number 166
_symmetry_space_group_name_Hall '-R 3 2"'
_cell_length_a 7.7680
_cell_length_b 7.7680
_cell_length_c 19.0483
_cell_angle_alpha 90.00
_cell_angle_beta 90.00
_cell_angle_gamma 120.00
loop_
_atom_site_label
_atom_site_fract_x
_atom_site_fract_y
_atom_site_fract_z
Dy1 0.0000 0.5000 0.0000
Ho1 0.0000 0.5000 0.5000
Er1 0.0000 0.0000 0.5000
S1 0.0000 0.0000 0.2494
S2 0.9997 0.4999 0.2494
```


Record 2
For Dy2HoErSc, a crystal structure in Alexandria, relaxed with PBE gives the computed X-ray powder pattern in this record (Cu Kα, 1.54184 Å).
Neutral-atom scattering factors, no anomalous dispersion.

Largest 12 diffraction maxima, low angle first, 10 to 80 degrees two-theta:
2theta  Rel. int.  (hkl)
27.17  100  2 2 0
30.00  99  0 2 2
32.13  50  0 4 0
33.67  81  2 0 2
36.86  23  1 3 2
41.26  22  3 3 0
47.23  56  2 4 2
51.90  20  0 0 4
55.99  22  0 6 2
59.54  23  2 2 4
62.37  20  0 4 4
68.38  30  3 7 0

Cell and atoms:
```
data_Dy2HoErSc
_symmetry_space_group_name_H-M 'C m c m'
_symmetry_Int_Tables_number 63
_symmetry_space_group_name_Hall '-C 2c 2'
_cell_length_a 8.1240
_cell_length_b 11.1430
_cell_length_c 7.0491
_cell_angle_alpha 90.00
_cell_angle_beta 90.00
_cell_angle_gamma 90.00
loop_
_atom_site_label
_atom_site_fract_x
_atom_site_fract_y
_atom_site_fract_z
Dy1 0.1976 0.0000 0.0000
Ho1 0.0000 0.2312 0.2500
Er1 0.0000 0.2301 0.7500
Sc1 0.0000 0.5004 0.2500
```


Record 3
For Dy2HoEr2Sc, a crystal structure in Alexandria, relaxed with PBE gives the computed X-ray powder pattern in this record (Cu Kα, 1.54184 Å).
Neutral-atom scattering factors, no anomalous dispersion.

Largest 12 diffraction maxima, low angle first, 10 to 80 degrees two-theta:
2theta  Rel. int.  (hkl)
14.61  11  1 1 0
27.53  25  2 0 0
29.47  38  2 2 0
31.24  100  0 3 1
32.15  10  1 2 1
34.22  22  1 6 0
34.67  28  2 4 0
39.31  28  2 1 1
42.14  28  2 3 1
54.49  9  2 7 1
57.50  12  1 9 1
66.31  23  4 3 1

Cell and atoms:
```
data_Dy2HoEr2Sc
_symmetry_space_group_name_H-M 'P n n m'
_symmetry_Int_Tables_number 58
_cell_length_a 6.4774
_cell_length_b 17.2018
_cell_length_c 3.3027
_cell_angle_alpha 90.00
_cell_angle_beta 90.00
_cell_angle_gamma 90.00
loop_
_symmetry_equiv_pos_as_xyz
'x,y,z'
'-x,-y,-z'
'-x,-y,z'
'x,y,-z'
'x+1/2,-y+1/2,-z+1/2'
'-x+1/2,y+1/2,z+1/2'
'-x+1/2,y+1/2,-z+1/2'
'x+1/2,-y+1/2,z+1/2'
loop_
_atom_site_label
_atom_site_fract_x
_atom_site_fract_y
_atom_site_fract_z
Dy1 0.2468 0.1801 0.0000
Ho1 0.0000 0.5000 0.0000
Er1 0.2450 0.3534 0.5000
Sc1 0.0000 0.0000 0.0000
```


Record 4
For DyHoErSc, a crystal structure in Alexandria, relaxed with PBE gives the computed X-ray powder pattern in this record (Cu Kα, 1.54184 Å).
Neutral-atom scattering factors, no anomalous dispersion.

Largest 12 diffraction maxima, low angle first, 10 to 80 degrees two-theta:
2theta  Rel. int.  (hkl)
25.02  9  2 0 -1
28.50  14  3 1 0
31.45  25  4 0 0
32.23  27  0 2 0
32.85  100  1 1 1
45.66  18  4 2 0
48.60  9  2 0 -2
56.89  15  5 1 1
57.87  27  1 3 1
59.52  9  2 2 -2
68.88  10  2 2 2
76.26  10  4 4 0

Cell and atoms:
```
data_DyHoErSc
_symmetry_space_group_name_H-M 'C 1 m 1'
_symmetry_Int_Tables_number 8
_cell_length_a 11.9779
_cell_length_b 5.5542
_cell_length_c 3.7471
_cell_angle_alpha 90.00
_cell_angle_beta 108.22
_cell_angle_gamma 90.00
loop_
_symmetry_equiv_pos_as_xyz
'x,y,z'
'x,-y,z'
'x+1/2,y+1/2,z'
'x+1/2,-y+1/2,z'
loop_
_atom_site_label
_atom_site_fract_x
_atom_site_fract_y
_atom_site_fract_z
Dy1 0.0000 0.0000 0.0000
Ho1 0.2716 0.0000 0.7735
Er1 0.0391 0.5000 0.5390
Sc1 0.2686 0.5000 0.2694
```


Record 5
For Dy3Ho2Er6Sc, a crystal structure in Alexandria, relaxed with PBE gives the computed X-ray powder pattern in this record (Cu Kα, 1.54184 Å).
Neutral-atom scattering factors, no anomalous dispersion.

Largest 12 diffraction maxima, low angle first, 10 to 80 degrees two-theta:
2theta  Rel. int.  (hkl)
15.52  1  0 0 2
17.09  1  1 1 0
17.68  1  1 1 -1
18.62  1  0 2 1
19.84  1  1 1 1
31.33  100  1 3 1
36.33  50  2 0 2
52.32  36  0 6 0
62.24  28  4 0 0
62.29  14  0 6 4
65.36  12  2 6 2
77.14  6  4 0 4

Cell and atoms:
```
data_Dy3Ho2Er6Sc
_symmetry_space_group_name_H-M 'C 1 2/m 1'
_symmetry_Int_Tables_number 12
_cell_length_a 6.0621
_cell_length_b 10.4872
_cell_length_c 11.5940
_cell_angle_alpha 90.00
_cell_angle_beta 100.00
_cell_angle_gamma 90.00
loop_
_symmetry_equiv_pos_as_xyz
'x,y,z'
'-x,-y,-z'
'-x,y,-z'
'x,-y,z'
'x+1/2,y+1/2,z'
'-x+1/2,-y+1/2,-z'
'-x+1/2,y+1/2,-z'
'x+1/2,-y+1/2,z'
loop_
_atom_site_label
_atom_site_fract_x
_atom_site_fract_y
_atom_site_fract_z
Dy1 0.0000 0.0000 0.0000
Dy2 0.0000 0.3335 0.0000
Ho1 0.0000 0.1666 0.5000
Er1 0.2476 0.3344 0.7471
Er2 0.2492 0.5000 0.2527
Sc1 0.0000 0.5000 0.5000
```


Record 6
For DyHoErSc2, a crystal structure in Alexandria, relaxed with PBE gives the computed X-ray powder pattern in this record (Cu Kα, 1.54184 Å).
Neutral-atom scattering factors, no anomalous dispersion.

Largest 12 diffraction maxima, low angle first, 10 to 80 degrees two-theta:
2theta  Rel. int.  (hkl)
10.62  49  0 2 0
21.53  16  1 1 1
26.37  50  1 3 1
29.65  48  2 0 0
31.58  68  2 2 0
34.16  100  1 5 1
42.43  38  2 0 2
43.56  19  1 7 1
50.65  17  3 3 1
55.56  50  3 5 1
62.41  20  2 8 2
63.85  22  2 10 0

Cell and atoms:
```
data_DyHoErSc2
_symmetry_space_group_name_H-M 'C m c m'
_symmetry_Int_Tables_number 63
_symmetry_space_group_name_Hall '-C 2c 2'
_cell_length_a 6.0260
_cell_length_b 16.6585
_cell_length_c 6.0257
_cell_angle_alpha 90.00
_cell_angle_beta 90.00
_cell_angle_gamma 90.00
loop_
_atom_site_label
_atom_site_fract_x
_atom_site_fract_y
_atom_site_fract_z
Dy1 0.0000 0.2496 0.2500
Ho1 0.0000 0.1529 0.7500
Er1 0.0000 0.3476 0.7500
Sc1 0.2499 0.0000 0.0000
```


Record 7
For DyHo2ErSc4, a crystal structure in Alexandria, relaxed with PBE gives the computed X-ray powder pattern in this record (Cu Kα, 1.54184 Å).
Neutral-atom scattering factors, no anomalous dispersion.

Largest 12 diffraction maxima, low angle first, 10 to 80 degrees two-theta:
2theta  Rel. int.  (hkl)
21.16  57  0 2 2
28.22  46  0 0 4
30.95  23  2 0 2
31.84  100  2 2 0
43.06  86  2 2 4
45.03  17  2 4 2
45.99  8  0 2 6
56.74  19  4 0 0
64.56  25  4 0 4
66.51  8  4 4 0
68.04  22  2 2 8
73.76  11  4 4 4

Cell and atoms:
```
data_DyHo2ErSc4
_symmetry_space_group_name_H-M 'I m m a'
_symmetry_Int_Tables_number 74
_symmetry_space_group_name_Hall '-I 2b 2'
_cell_length_a 6.4963
_cell_length_b 11.2293
_cell_length_c 12.6479
_cell_angle_alpha 90.00
_cell_angle_beta 90.00
_cell_angle_gamma 90.00
loop_
_atom_site_label
_atom_site_fract_x
_atom_site_fract_y
_atom_site_fract_z
Dy1 0.2500 0.2500 0.2500
Ho1 0.0000 0.0000 0.0000
Ho2 0.2500 0.2500 0.7500
Er1 0.0000 0.0000 0.5000
Sc1 0.0000 0.9995 0.2504
Sc2 0.2500 0.2500 0.9996
```


Record 8
For Sm2DyHoEr2, a crystal structure in Alexandria, relaxed with PBE gives the computed X-ray powder pattern in this record (Cu Kα, 1.54184 Å).
Neutral-atom scattering factors, no anomalous dispersion.

Largest 12 diffraction maxima, low angle first, 10 to 80 degrees two-theta:
2theta  Rel. int.  (hkl)
26.90  35  0 1 1
29.14  100  2 2 0
29.82  25  1 0 1
30.00  77  0 6 0
30.46  83  0 3 1
31.49  42  1 2 1
33.06  36  1 6 0
34.03  67  2 4 0
36.10  41  1 4 1
41.38  68  2 3 1
42.81  27  1 6 1
55.52  31  1 9 1

Cell and atoms:
```
data_Sm2DyHoEr2
_symmetry_space_group_name_H-M 'P n n m'
_symmetry_Int_Tables_number 58
_cell_length_a 6.5242
_cell_length_b 17.8693
_cell_length_c 3.3729
_cell_angle_alpha 90.00
_cell_angle_beta 90.00
_cell_angle_gamma 90.00
loop_
_symmetry_equiv_pos_as_xyz
'x,y,z'
'-x,-y,-z'
'-x,-y,z'
'x,y,-z'
'x+1/2,-y+1/2,-z+1/2'
'-x+1/2,y+1/2,z+1/2'
'-x+1/2,y+1/2,-z+1/2'
'x+1/2,-y+1/2,z+1/2'
loop_
_atom_site_label
_atom_site_fract_x
_atom_site_fract_y
_atom_site_fract_z
Sm1 0.2282 0.1861 0.0000
Dy1 0.0000 0.5000 0.0000
Ho1 0.0000 0.0000 0.0000
Er1 0.2260 0.3542 0.5000
```